1.
This entry pairs a crystal structure of Li3Tb2Ag4 with its theoretical PXRD pattern. Radiation: Cu Kα X-rays. Structure: a GGA-PBE-relaxed structure.
Kinematic intensities with the Lorentz-polarization factor, no thermal factor.

Cell lengths 5.7959, 15.6772, 7.9527 Å; angles 90.00, 90.00, 90.00 degrees
Space group Cmce (No. 64)
Unique sites:
1 Li 0.0000 0.0000 0.0000 x4
2 Li 0.2500 0.2209 0.2500 x8
3 Tb 0.0000 0.1106 0.5911 x8
4 Ag 0.0000 0.1812 0.9705 x8
5 Ag 0.2500 0.0543 0.2500 x8

Top 8 peaks for 2θ = 10–80°, in order of rising 2θ:
hkl 0 4 0, 2θ 22.7, I 27; hkl 0 2 2, 2θ 25.1, I 44; hkl 1 3 2, 2θ 32.2, I 45; hkl 1 5 1, 2θ 34.4, I 100; hkl 2 2 1, 2θ 34.9, I 59; hkl 0 2 3, 2θ 35.8, I 68; hkl 2 0 2, 2θ 38.4, I 64; hkl 2 4 0, 2θ 38.6, I 27



2.
This entry pairs a crystal structure of LiTb2Ag6 with its theoretical PXRD pattern. Radiation: Cu Kα X-rays. Structure: a GGA-PBE-relaxed structure.
Kinematic intensities with the Lorentz-polarization factor, no thermal factor.

Cell lengths 14.3970, 8.3148, 3.2199 Å; angles 90.00, 90.10, 90.00 degrees
Space group C2/m (No. 12)
Unique sites:
1 Li 0.0000 0.0000 0.0000 x2
2 Tb 0.1667 0.5000 0.0000 x4
3 Ag 0.0000 0.3306 0.5000 x4
4 Ag 0.1653 0.1653 0.4988 x8

Top 8 peaks for 2θ = 10–80°, in order of rising 2θ:
hkl 2 0 0, 2θ 12.3, I 30; hkl 3 1 1, 2θ 35.3, I 100; hkl 6 0 0, 2θ 37.5, I 100; hkl 3 3 1, 2θ 47.2, I 12; hkl 0 4 1, 2θ 52.4, I 31; hkl 6 4 1, 2θ 66.2, I 25; hkl 9 3 0, 2θ 67.6, I 17; hkl 3 3 2, 2θ 70.4, I 24